# 1
# Sb2C3N6
Computed powder diffractogram, Cu Kα X-rays. Input: a structure optimized by DFT (GGA-PBE).
Kinematic intensities with the Lorentz-polarization factor, no thermal factor.

Structural model:
```
data_Sb2C3N6
_symmetry_space_group_name_H-M 'C 1 2/m 1'
_symmetry_Int_Tables_number 12
_cell_length_a 14.846
_cell_length_b 3.858
_cell_length_c 5.247
_cell_angle_alpha 90.00
_cell_angle_beta 96.99
_cell_angle_gamma 90.00
loop_
_symmetry_equiv_pos_as_xyz
'x,y,z'
'-x,-y,-z'
'-x,y,-z'
'x,-y,z'
'x+1/2,y+1/2,z'
'-x+1/2,-y+1/2,-z'
'-x+1/2,y+1/2,-z'
'x+1/2,-y+1/2,z'
loop_
_atom_site_label
_atom_site_type_symbol
_atom_site_fract_x
_atom_site_fract_y
_atom_site_fract_z
Sb1 Sb 0.133 0.000 0.082
C1 C 0.000 0.000 0.500
C2 C 0.173 0.500 0.578
N1 N 0.001 0.000 0.736
N2 N 0.154 0.500 0.342
N3 N 0.195 0.500 0.813
```

The 10 most intense peaks (2θ = 15–90°), low angle first:
17.02 deg, intensity 84, (0 0 1)
22.07 deg, intensity 33, (2 0 1)
23.84 deg, intensity 75, (1 1 0)
24.16 deg, intensity 64, (4 0 0)
27.91 deg, intensity 38, (4 0 -1)
29.00 deg, intensity 100, (1 1 -1)
35.34 deg, intensity 65, (3 1 1)
40.68 deg, intensity 29, (5 1 -1)
41.67 deg, intensity 39, (1 1 -2)
47.70 deg, intensity 33, (3 1 2)

---

# 2
# BaSi6N8O
Computed powder diffractogram, Cu Kα X-rays. Input: a structure optimized by DFT (GGA-PBE).
Kinematic intensities with the Lorentz-polarization factor, no thermal factor.

Structural model:
```
data_BaSi6N8O
_symmetry_space_group_name_H-M 'I m m 2'
_symmetry_Int_Tables_number 44
_cell_length_a 8.172
_cell_length_b 9.800
_cell_length_c 4.871
_cell_angle_alpha 90.00
_cell_angle_beta 90.00
_cell_angle_gamma 90.00
loop_
_symmetry_equiv_pos_as_xyz
'x,y,z'
'-x,-y,z'
'-x,y,z'
'x,-y,z'
'x+1/2,y+1/2,z+1/2'
'-x+1/2,-y+1/2,z+1/2'
'-x+1/2,y+1/2,z+1/2'
'x+1/2,-y+1/2,z+1/2'
loop_
_atom_site_label
_atom_site_type_symbol
_atom_site_fract_x
_atom_site_fract_y
_atom_site_fract_z
Ba1 Ba 0.000 0.000 0.000
Si1 Si 0.000 0.339 0.528
Si2 Si 0.197 0.341 0.025
N1 N 0.000 0.313 0.178
N2 N 0.175 0.278 0.685
N3 N 0.226 0.000 0.556
O1 O 0.000 0.500 0.615
```

The 10 most intense peaks (2θ = 15–90°), low angle first:
21.23 deg, intensity 19, (1 0 1)
28.04 deg, intensity 31, (1 2 1)
28.44 deg, intensity 20, (2 2 0)
29.45 deg, intensity 57, (1 3 0)
29.96 deg, intensity 100, (2 1 1)
33.02 deg, intensity 20, (0 3 1)
36.91 deg, intensity 22, (0 0 2)
42.25 deg, intensity 20, (3 2 1)
47.90 deg, intensity 19, (1 3 2)
53.72 deg, intensity 19, (3 4 1)

---

# 3
# Ti3Sn5S12
Computed powder diffractogram, Cu Kα X-rays. Input: a structure optimized by DFT (GGA-PBE).
Kinematic intensities with the Lorentz-polarization factor, no thermal factor.

Structural model:
```
data_Ti3Sn5S12
_symmetry_space_group_name_H-M 'P 1 m 1'
_symmetry_Int_Tables_number 6
_cell_length_a 9.134
_cell_length_b 3.645
_cell_length_c 13.646
_cell_angle_alpha 90.00
_cell_angle_beta 91.00
_cell_angle_gamma 90.00
loop_
_symmetry_equiv_pos_as_xyz
'x,y,z'
'x,-y,z'
loop_
_atom_site_label
_atom_site_type_symbol
_atom_site_fract_x
_atom_site_fract_y
_atom_site_fract_z
Ti1 Ti 0.000 0.000 0.000
Ti2 Ti 0.172 0.500 0.508
Ti3 Ti 0.686 0.500 0.906
Sn1 Sn 0.300 0.500 0.119
Sn2 Sn 0.387 0.000 0.782
Sn3 Sn 0.499 0.000 0.404
Sn4 Sn 0.812 0.500 0.277
Sn5 Sn 0.881 0.000 0.623
S1 S 0.019 0.000 0.446
S2 S 0.079 0.500 0.668
S3 S 0.107 0.000 0.163
S4 S 0.157 0.500 0.943
S5 S 0.315 0.500 0.350
S6 S 0.346 0.000 0.562
S7 S 0.527 0.000 0.961
S8 S 0.580 0.500 0.741
S9 S 0.615 0.000 0.234
S10 S 0.678 0.500 0.462
S11 S 0.833 0.500 0.057
S12 S 0.851 0.000 0.849
```

The 10 most intense peaks (2θ = 15–90°), low angle first:
16.35 deg, intensity 53, (1 0 2)
21.68 deg, intensity 50, (1 0 -3)
21.99 deg, intensity 67, (1 0 3)
29.38 deg, intensity 41, (1 1 -2)
31.41 deg, intensity 76, (2 1 0)
32.02 deg, intensity 77, (2 1 -1)
32.17 deg, intensity 100, (2 1 1)
41.33 deg, intensity 62, (0 1 5)
46.84 deg, intensity 36, (3 1 -4)
50.05 deg, intensity 40, (0 2 0)

---

# 4
# FeCu2C6N6
Computed powder diffractogram, Cu Kα X-rays. Input: a structure optimized by DFT (GGA-PBE).
Kinematic intensities with the Lorentz-polarization factor, no thermal factor.

Structural model:
```
data_FeCu2C6N6
_symmetry_space_group_name_H-M 'F -4 3 m'
_symmetry_Int_Tables_number 216
_symmetry_space_group_name_Hall 'F -4 2 3'
_cell_length_a 10.187
_cell_length_b 10.187
_cell_length_c 10.187
_cell_angle_alpha 90.00
_cell_angle_beta 90.00
_cell_angle_gamma 90.00
loop_
_atom_site_label
_atom_site_type_symbol
_atom_site_fract_x
_atom_site_fract_y
_atom_site_fract_z
Fe1 Fe 0.000 0.000 0.000
Cu1 Cu 0.000 0.000 0.500
Cu2 Cu 0.250 0.250 0.250
C1 C 0.000 0.000 0.185
N1 N 0.000 0.000 0.300
```

The 10 most intense peaks (2θ = 15–90°), low angle first:
15.06 deg, intensity 35, (1 1 1)
17.41 deg, intensity 69, (2 0 0)
24.72 deg, intensity 100, (2 2 0)
29.07 deg, intensity 22, (3 1 1)
35.24 deg, intensity 61, (4 0 0)
39.56 deg, intensity 11, (4 2 0)
43.52 deg, intensity 27, (4 2 2)
50.69 deg, intensity 28, (4 4 0)
57.19 deg, intensity 32, (6 2 0)
68.99 deg, intensity 25, (6 4 2)